# 1
Starting from a structure optimized by DFT (GGA-PBE), the powder diffraction line list of Li2PmY was calculated for λ = 1.5418 Å (Cu Kα).
Lines closer than 0.1° are merged.

Principal peaks in the range 2θ from 15° to 90°, low angle first:
2θ (°)	Rel. int.
30.02	38
31.14	100
32.36	82
36.87	59
39.97	52
47.39	30
51.61	21
54.63	21
56.96	31
63.60	26

abc: 3.360 3.360 35.715
angles: 90.00 90.00 120.00
Positions (direct):
1 Li 0.000 0.000 0.088
2 Li 0.000 0.000 0.912
3 Li 0.333 0.667 0.579
4 Li 0.333 0.667 0.754
5 Li 0.667 0.333 0.246
6 Li 0.667 0.333 0.421
7 Pm 0.000 0.000 0.500
8 Pm 0.333 0.667 0.167
9 Pm 0.667 0.333 0.833
10 Y 0.000 0.000 0.000
11 Y 0.333 0.667 0.667
12 Y 0.667 0.333 0.333

=====

# 2
Starting from a structure optimized by DFT (GGA-PBE), the powder diffraction line list of Pm2Ho2Ru3 was calculated for λ = 1.5418 Å (Cu Kα).
Lines closer than 0.1° are merged.

Principal peaks in the range 2θ from 15° to 90°, low angle first:
2θ (°)	Rel. int.
29.59	59
30.75	83
31.87	42
32.06	96
32.30	100
34.85	42
38.38	48
39.10	46
44.71	57
52.75	47

abc: 3.475 6.309 8.272
angles: 73.20 78.74 88.05
Positions (direct):
1 Pm 0.160 0.318 0.183
2 Pm 0.840 0.682 0.817
3 Ho 0.396 0.216 0.669
4 Ho 0.604 0.784 0.331
5 Ru 0.000 0.000 0.500
6 Ru 0.233 0.835 0.046
7 Ru 0.767 0.165 0.954